[1]
Structure and computed powder diffraction line list of Th2HgSb4 (DFT lattice parameters and positions (GGA-PBE); Cu Kα X-rays).
Peak positions follow from Bragg's law for the DFT cell and can differ from measured ones.

Lattice parameters (Å, degrees): 4.420 4.420 10.666 90.00 90.00 90.00
Fractional coordinates of all 7 atoms:
Th  0.000  0.500  0.230
Th  0.500  0.000  0.770
Hg  0.000  0.000  0.500
Sb  0.000  0.000  0.000
Sb  0.000  0.500  0.688
Sb  0.500  0.000  0.312
Sb  0.500  0.500  0.000

Peak list (10 most intense, 5 to 70 degrees two-theta, sorted by position)
| d/Å | I_rel |
| --- | --- |
| 4.083 | 22 |
| 3.403 | 20 |
| 2.770 | 14 |
| 2.697 | 100 |
| 2.667 | 15 |
| 2.283 | 14 |
| 2.210 | 33 |
| 1.702 | 16 |
| 1.563 | 11 |
| 1.352 | 24 |

[2]
Structure and computed powder diffraction line list of TiHgSb3 (DFT lattice parameters and positions (GGA-PBE); Cu Kα X-rays).
Peak positions follow from Bragg's law for the DFT cell and can differ from measured ones.

Lattice parameters (Å, degrees): 5.281 5.281 5.281 90.00 90.00 90.00
Fractional coordinates of all 5 atoms:
Ti  0.000  0.000  0.000
Hg  0.500  0.500  0.500
Sb  0.000  0.000  0.500
Sb  0.000  0.500  0.000
Sb  0.500  0.000  0.000

Peak list (10 most intense, 5 to 70 degrees two-theta, sorted by position)
| d/Å | I_rel |
| --- | --- |
| 3.734 | 15 |
| 3.049 | 100 |
| 2.641 | 72 |
| 2.362 | 1 |
| 2.156 | 7 |
| 1.867 | 51 |
| 1.670 | 3 |
| 1.592 | 44 |
| 1.525 | 17 |
| 1.411 | 4 |

[3]
Structure and computed powder diffraction line list of Tl8Hg3Sb2 (DFT lattice parameters and positions (GGA-PBE); Cu Kα X-rays).
Peak positions follow from Bragg's law for the DFT cell and can differ from measured ones.

Lattice parameters (Å, degrees): 10.548 10.548 4.959 91.87 91.87 49.84
Fractional coordinates of all 13 atoms:
Tl  0.047  0.629  0.241
Tl  0.067  0.067  0.291
Tl  0.346  0.346  0.758
Tl  0.371  0.953  0.759
Tl  0.629  0.047  0.241
Tl  0.654  0.654  0.242
Tl  0.933  0.933  0.709
Tl  0.953  0.371  0.759
Hg  0.291  0.709  0.000
Hg  0.500  0.500  0.500
Hg  0.709  0.291  0.000
Sb  0.235  0.235  0.248
Sb  0.765  0.765  0.752

Peak list (10 most intense, 5 to 70 degrees two-theta, sorted by position)
| d/Å | I_rel |
| --- | --- |
| 3.187 | 21 |
| 3.104 | 100 |
| 2.912 | 37 |
| 2.822 | 20 |
| 2.752 | 22 |
| 2.687 | 21 |
| 2.611 | 19 |
| 2.378 | 21 |
| 2.222 | 18 |
| 1.540 | 22 |

[4]
Structure and computed powder diffraction line list of Tl3Hg7Sb (DFT lattice parameters and positions (GGA-PBE); Cu Kα X-rays).
Peak positions follow from Bragg's law for the DFT cell and can differ from measured ones.

Lattice parameters (Å, degrees): 12.782 12.782 11.084 90.00 90.00 158.10
Fractional coordinates of all 22 atoms:
Tl  0.073  0.927  0.590
Tl  0.073  0.927  0.910
Tl  0.170  0.830  0.250
Tl  0.830  0.170  0.750
Tl  0.927  0.073  0.090
Tl  0.927  0.073  0.410
Hg  0.212  0.788  0.606
Hg  0.212  0.788  0.894
Hg  0.333  0.667  0.554
Hg  0.333  0.667  0.946
Hg  0.355  0.645  0.250
Hg  0.454  0.546  0.590
Hg  0.454  0.546  0.910
Hg  0.546  0.454  0.090
Hg  0.546  0.454  0.410
Hg  0.645  0.355  0.750
Hg  0.667  0.333  0.054
Hg  0.667  0.333  0.446
Hg  0.788  0.212  0.106
Hg  0.788  0.212  0.394
Sb  0.041  0.959  0.250
Sb  0.959  0.041  0.750

Peak list (10 most intense, 5 to 70 degrees two-theta, sorted by position)
| d/Å | I_rel |
| --- | --- |
| 3.329 | 29 |
| 3.137 | 19 |
| 3.019 | 16 |
| 2.920 | 100 |
| 2.884 | 27 |
| 2.773 | 21 |
| 2.428 | 40 |
| 2.392 | 18 |
| 2.312 | 17 |
| 2.274 | 29 |

[5]
Structure and computed powder diffraction line list of Tl23HgSb6 (DFT lattice parameters and positions (GGA-PBE); Cu Kα X-rays).
Peak positions follow from Bragg's law for the DFT cell and can differ from measured ones.

Lattice parameters (Å, degrees): 11.597 11.597 11.597 127.09 127.09 78.11
Fractional coordinates of all 30 atoms:
Tl  0.000  0.000  0.000
Tl  0.000  0.000  0.500
Tl  0.000  0.500  0.000
Tl  0.000  0.500  0.500
Tl  0.129  0.390  0.261
Tl  0.129  0.868  0.739
Tl  0.131  0.378  0.753
Tl  0.132  0.871  0.261
Tl  0.375  0.622  0.753
Tl  0.378  0.131  0.753
Tl  0.378  0.625  0.247
Tl  0.390  0.129  0.261
Tl  0.500  0.000  0.000
Tl  0.500  0.000  0.500
Tl  0.500  0.500  0.500
Tl  0.610  0.871  0.739
Tl  0.622  0.375  0.753
Tl  0.622  0.869  0.247
Tl  0.625  0.378  0.247
Tl  0.868  0.129  0.739
Tl  0.869  0.622  0.247
Tl  0.871  0.132  0.261
Tl  0.871  0.610  0.739
Hg  0.500  0.500  0.000
Sb  0.240  0.240  0.000
Sb  0.240  0.240  0.480
Sb  0.240  0.760  0.000
Sb  0.760  0.240  0.000
Sb  0.760  0.760  0.000
Sb  0.760  0.760  0.520

Peak list (10 most intense, 5 to 70 degrees two-theta, sorted by position)
| d/Å | I_rel |
| --- | --- |
| 4.486 | 10 |
| 2.837 | 100 |
| 2.583 | 39 |
| 2.251 | 13 |
| 2.239 | 4 |
| 1.827 | 14 |
| 1.697 | 22 |
| 1.536 | 31 |
| 1.418 | 12 |
| 1.388 | 11 |

[6]
Structure and computed powder diffraction line list of Tl8Hg3Sb2 (DFT lattice parameters and positions (GGA-PBE); Cu Kα X-rays).
Peak positions follow from Bragg's law for the DFT cell and can differ from measured ones.

Lattice parameters (Å, degrees): 12.180 12.180 12.180 32.09 32.09 32.09
Fractional coordinates of all 13 atoms:
Tl  0.203  0.203  0.203
Tl  0.215  0.215  0.703
Tl  0.215  0.703  0.215
Tl  0.297  0.785  0.785
Tl  0.703  0.215  0.215
Tl  0.785  0.297  0.785
Tl  0.785  0.785  0.297
Tl  0.797  0.797  0.797
Hg  0.295  0.295  0.295
Hg  0.500  0.500  0.500
Hg  0.705  0.705  0.705
Sb  0.113  0.113  0.113
Sb  0.887  0.887  0.887

Peak list (10 most intense, 5 to 70 degrees two-theta, sorted by position)
| d/Å | I_rel |
| --- | --- |
| 11.543 | 73 |
| 3.366 | 49 |
| 3.232 | 44 |
| 2.886 | 53 |
| 2.875 | 100 |
| 2.763 | 41 |
| 2.687 | 90 |
| 2.230 | 94 |
| 1.683 | 56 |
| 1.454 | 54 |

[7]
Structure and computed powder diffraction line list of Tl12Hg5Sb3 (DFT lattice parameters and positions (GGA-PBE); Cu Kα X-rays).
Peak positions follow from Bragg's law for the DFT cell and can differ from measured ones.

Lattice parameters (Å, degrees): 12.801 12.801 4.780 90.00 90.00 120.00
Fractional coordinates of all 20 atoms:
Tl  0.000  0.158  0.000
Tl  0.000  0.469  0.000
Tl  0.158  0.000  0.000
Tl  0.182  0.714  0.500
Tl  0.286  0.468  0.500
Tl  0.468  0.286  0.500
Tl  0.469  0.000  0.000
Tl  0.531  0.531  0.000
Tl  0.532  0.818  0.500
Tl  0.714  0.182  0.500
Tl  0.818  0.532  0.500
Tl  0.842  0.842  0.000
Hg  0.000  0.715  0.000
Hg  0.285  0.285  0.000
Hg  0.333  0.667  0.000
Hg  0.667  0.333  0.000
Hg  0.715  0.000  0.000
Sb  0.000  0.317  0.500
Sb  0.317  0.000  0.500
Sb  0.683  0.683  0.500

Peak list (10 most intense, 5 to 70 degrees two-theta, sorted by position)
| d/Å | I_rel |
| --- | --- |
| 3.151 | 98 |
| 3.075 | 55 |
| 2.771 | 18 |
| 2.659 | 100 |
| 2.390 | 38 |
| 2.245 | 32 |
| 1.887 | 28 |
| 1.848 | 17 |
| 1.462 | 24 |
| 1.426 | 16 |

[8]
Structure and computed powder diffraction line list of Tl5Hg4Sb2 (DFT lattice parameters and positions (GGA-PBE); Cu Kα X-rays).
Peak positions follow from Bragg's law for the DFT cell and can differ from measured ones.

Lattice parameters (Å, degrees): 9.595 9.595 6.528 91.39 91.39 32.59
Fractional coordinates of all 11 atoms:
Tl  0.000  0.000  0.000
Tl  0.261  0.261  0.332
Tl  0.372  0.372  0.808
Tl  0.628  0.628  0.192
Tl  0.739  0.739  0.668
Hg  0.180  0.180  0.889
Hg  0.445  0.445  0.276
Hg  0.555  0.555  0.724
Hg  0.820  0.820  0.111
Sb  0.080  0.080  0.480
Sb  0.920  0.920  0.520

Peak list (10 most intense, 5 to 70 degrees two-theta, sorted by position)
| d/Å | I_rel |
| --- | --- |
| 2.778 | 69 |
| 2.750 | 100 |
| 2.692 | 36 |
| 1.986 | 12 |
| 1.924 | 23 |
| 1.598 | 22 |
| 1.583 | 10 |
| 1.570 | 13 |
| 1.565 | 13 |
| 1.375 | 9 |

[9]
Structure and computed powder diffraction line list of Tl8Hg4Sb (DFT lattice parameters and positions (GGA-PBE); Cu Kα X-rays).
Peak positions follow from Bragg's law for the DFT cell and can differ from measured ones.

Lattice parameters (Å, degrees): 5.389 5.781 14.118 87.54 89.38 63.26
Fractional coordinates of all 13 atoms:
Tl  0.000  0.000  0.000
Tl  0.023  0.948  0.456
Tl  0.300  0.398  0.904
Tl  0.346  0.312  0.153
Tl  0.424  0.151  0.620
Tl  0.598  0.797  0.836
Tl  0.678  0.635  0.303
Tl  0.722  0.550  0.552
Hg  0.140  0.716  0.686
Hg  0.343  0.306  0.391
Hg  0.680  0.641  0.065
Hg  0.882  0.233  0.770
Sb  0.012  0.974  0.228

Peak list (10 most intense, 5 to 70 degrees two-theta, sorted by position)
| d/Å | I_rel |
| --- | --- |
| 2.970 | 20 |
| 2.923 | 26 |
| 2.878 | 61 |
| 2.840 | 37 |
| 2.831 | 85 |
| 2.790 | 82 |
| 2.730 | 23 |
| 2.696 | 100 |
| 2.520 | 42 |
| 1.841 | 28 |

[10]
Structure and computed powder diffraction line list of TlHgSb2 (DFT lattice parameters and positions (GGA-PBE); Cu Kα X-rays).
Peak positions follow from Bragg's law for the DFT cell and can differ from measured ones.

Lattice parameters (Å, degrees): 3.893 3.893 7.991 90.00 90.00 90.00
Fractional coordinates of all 4 atoms:
Tl  0.000  0.000  0.000
Hg  0.500  0.500  0.264
Sb  0.000  0.000  0.540
Sb  0.500  0.500  0.713

Peak list (10 most intense, 5 to 70 degrees two-theta, sorted by position)
| d/Å | I_rel |
| --- | --- |
| 3.500 | 13 |
| 2.788 | 100 |
| 2.753 | 53 |
| 1.998 | 7 |
| 1.947 | 20 |
| 1.914 | 8 |
| 1.617 | 15 |
| 1.596 | 38 |
| 1.478 | 7 |
| 1.394 | 9 |

[11]
Structure and computed powder diffraction line list of Tl11Hg9Sb4 (DFT lattice parameters and positions (GGA-PBE); Cu Kα X-rays).
Peak positions follow from Bragg's law for the DFT cell and can differ from measured ones.

Lattice parameters (Å, degrees): 6.267 11.679 11.695 63.23 78.72 78.51
Fractional coordinates of all 24 atoms:
Tl  0.000  0.000  0.000
Tl  0.287  0.736  0.559
Tl  0.295  0.253  0.250
Tl  0.318  0.384  0.657
Tl  0.334  0.631  0.038
Tl  0.498  0.978  0.183
Tl  0.502  0.022  0.817
Tl  0.666  0.369  0.962
Tl  0.682  0.616  0.343
Tl  0.705  0.747  0.750
Tl  0.713  0.264  0.441
Hg  0.145  0.530  0.861
Hg  0.201  0.755  0.237
Hg  0.202  0.461  0.372
Hg  0.243  0.230  0.969
Hg  0.500  0.000  0.500
Hg  0.757  0.770  0.031
Hg  0.798  0.539  0.628
Hg  0.799  0.245  0.763
Hg  0.855  0.470  0.139
Sb  0.122  0.870  0.772
Sb  0.153  0.147  0.595
Sb  0.847  0.853  0.405
Sb  0.878  0.130  0.228

Peak list (10 most intense, 5 to 70 degrees two-theta, sorted by position)
| d/Å | I_rel |
| --- | --- |
| 3.176 | 29 |
| 2.988 | 37 |
| 2.951 | 37 |
| 2.890 | 33 |
| 2.858 | 29 |
| 2.815 | 35 |
| 2.783 | 22 |
| 2.735 | 29 |
| 2.706 | 100 |
| 2.489 | 25 |

[12]
Structure and computed powder diffraction line list of Tl12HgSb5 (DFT lattice parameters and positions (GGA-PBE); Cu Kα X-rays).
Peak positions follow from Bragg's law for the DFT cell and can differ from measured ones.

Lattice parameters (Å, degrees): 9.190 9.190 9.190 110.79 109.57 108.07
Fractional coordinates of all 18 atoms:
Tl  0.040  0.796  0.244
Tl  0.177  0.264  0.440
Tl  0.177  0.736  0.913
Tl  0.316  0.083  0.767
Tl  0.316  0.549  0.233
Tl  0.448  0.204  0.244
Tl  0.552  0.796  0.756
Tl  0.684  0.451  0.767
Tl  0.684  0.917  0.233
Tl  0.823  0.264  0.087
Tl  0.823  0.736  0.560
Tl  0.960  0.204  0.756
Hg  0.000  0.000  0.000
Sb  0.135  0.635  0.500
Sb  0.366  0.500  0.866
Sb  0.500  0.000  0.500
Sb  0.634  0.500  0.134
Sb  0.865  0.365  0.500

Peak list (10 most intense, 5 to 70 degrees two-theta, sorted by position)
| d/Å | I_rel |
| --- | --- |
| 3.406 | 13 |
| 3.062 | 100 |
| 2.863 | 36 |
| 2.853 | 43 |
| 2.823 | 54 |
| 2.650 | 13 |
| 2.610 | 42 |
| 1.737 | 13 |
| 1.709 | 15 |
| 1.580 | 12 |